Structure and theoretical PXRD pattern of Np2FeCuO8 (DFT lattice parameters and positions (PBE+U); Cu Kα, 1.54184 Å).
Intensities are scaled so that the largest is 100.

Most intense lines, 2θ = 5–70°, low angle first:
2theta	Rel. int.
19.05	63.8
25.63	15.7
26.90	47.3
27.22	46.2
32.13	100.0
37.74	21.9
38.65	23.8
50.92	34.9
51.29	34.7
65.86	19.0

Crystal structure
Lattice parameters (Å, degrees): 4.660 4.660 6.951 90.00 90.00 90.67
Sites, in units of the cell vectors:
1 Np 0.000 0.000 0.249
2 Np 0.000 0.000 0.751
3 Fe 0.500 0.500 0.500
4 Cu 0.500 0.500 0.000
5 O 0.198 0.198 0.000
6 O 0.200 0.200 0.500
7 O 0.298 0.702 0.268
8 O 0.298 0.702 0.732
9 O 0.702 0.298 0.268
10 O 0.702 0.298 0.732
11 O 0.800 0.800 0.500
12 O 0.802 0.802 0.000